Computed powder XRD pattern
Compound: Li3Co3NiO8
Radiation: copper Kα
Structure: a structure optimized by DFT (GGA+U)

Top 10 peaks for 5° ≤ 2θ ≤ 70°, low angle first:
Position (°2θ)	intensity
19.11	657
20.47	1000
26.42	383
34.24	385
37.18	558
37.94	627
41.64	365
47.27	717
62.73	467
65.96	433

Structure:
a b c (Å): 5.665 5.665 9.290
angles (deg): 90.00 90.00 120.00
Element x y z (fractional)
1 Li 0.173 0.346 0.000
2 Li 0.173 0.827 0.000
3 Li 0.346 0.173 0.500
4 Li 0.654 0.827 0.000
5 Li 0.827 0.173 0.500
6 Li 0.827 0.654 0.500
7 Co 0.167 0.334 0.731
8 Co 0.167 0.833 0.731
9 Co 0.334 0.167 0.231
10 Co 0.666 0.833 0.731
11 Co 0.833 0.167 0.231
12 Co 0.833 0.666 0.231
13 Ni 0.333 0.667 0.453
14 Ni 0.667 0.333 0.953
15 O 0.000 0.000 0.121
16 O 0.000 0.000 0.621
17 O 0.030 0.515 0.614
18 O 0.156 0.313 0.339
19 O 0.156 0.844 0.339
20 O 0.313 0.156 0.839
21 O 0.333 0.667 0.842
22 O 0.485 0.515 0.614
23 O 0.485 0.970 0.614
24 O 0.515 0.030 0.114
25 O 0.515 0.485 0.114
26 O 0.667 0.333 0.342
27 O 0.687 0.844 0.339
28 O 0.844 0.156 0.839
29 O 0.844 0.687 0.839
30 O 0.970 0.485 0.114

=====

Computed powder XRD pattern
Compound: Li2Co3NiO8
Radiation: copper Kα
Structure: a structure optimized by DFT (GGA+U)

Top 10 peaks for 5° ≤ 2θ ≤ 70°, low angle first:
Position (°2θ)	intensity
19.10	1000
19.21	295
37.06	434
37.20	158
38.75	132
45.12	653
59.74	195
65.55	195
65.87	190
68.99	86

Structure:
a b c (Å): 5.672 5.672 5.672
angles (deg): 60.29 60.29 60.29
Element x y z (fractional)
1 Li 0.126 0.126 0.126
2 Li 0.874 0.874 0.874
3 Co 0.000 0.500 0.500
4 Co 0.500 0.000 0.500
5 Co 0.500 0.500 0.000
6 Ni 0.500 0.500 0.500
7 O 0.265 0.265 0.709
8 O 0.265 0.709 0.265
9 O 0.266 0.266 0.266
10 O 0.291 0.735 0.735
11 O 0.709 0.265 0.265
12 O 0.734 0.734 0.734
13 O 0.735 0.291 0.735
14 O 0.735 0.735 0.291

=====

> What is the formula in the second record?

Li2Co3NiO8